# 1
Structure and simulated XRD peak list of K2LaTa5O15 (a DFT-relaxed cell (GGA-PBE, Alexandria); λ = 1.5418 Å (Cu Kα)).

Main lines, low angle first (2θ from 10° to 80°):
Position (°2θ), d/Å, intensity
15.57, 5.691, 34
22.48, 3.955, 69
25.23, 3.530, 61
27.46, 3.248, 41
28.93, 3.086, 67
30.08, 2.971, 27
31.44, 2.846, 55
31.72, 2.821, 100
34.04, 2.633, 40
45.06, 2.012, 30
45.89, 1.978, 32
56.15, 1.638, 60

Cell and atoms:
Cell lengths 12.726, 12.726, 3.955 Å; angles 90.00, 90.00, 90.00 degrees
Element x y z (fractional)
K  0.170  0.330  0.000
K  0.330  0.830  0.000
K  0.670  0.170  0.000
K  0.830  0.670  0.000
La  0.000  0.000  0.000
La  0.500  0.500  0.000
Ta  0.000  0.500  0.500
Ta  0.076  0.786  0.500
Ta  0.214  0.076  0.500
Ta  0.286  0.576  0.500
Ta  0.424  0.286  0.500
Ta  0.500  0.000  0.500
Ta  0.576  0.714  0.500
Ta  0.714  0.424  0.500
Ta  0.786  0.924  0.500
Ta  0.924  0.214  0.500
O  0.000  0.500  0.000
O  0.001  0.343  0.500
O  0.061  0.133  0.500
O  0.077  0.806  0.000
O  0.133  0.939  0.500
O  0.157  0.499  0.500
O  0.194  0.077  0.000
O  0.215  0.715  0.500
O  0.285  0.215  0.500
O  0.306  0.577  0.000
O  0.343  0.999  0.500
O  0.367  0.439  0.500
O  0.423  0.306  0.000
O  0.439  0.633  0.500
O  0.499  0.843  0.500
O  0.500  0.000  0.000
O  0.501  0.157  0.500
O  0.561  0.367  0.500
O  0.577  0.694  0.000
O  0.633  0.561  0.500
O  0.657  0.001  0.500
O  0.694  0.423  0.000
O  0.715  0.785  0.500
O  0.785  0.285  0.500
O  0.806  0.923  0.000
O  0.843  0.501  0.500
O  0.867  0.061  0.500
O  0.923  0.194  0.000
O  0.939  0.867  0.500
O  0.999  0.657  0.500



# 2
Structure and simulated XRD peak list of SmSn6 (a DFT-relaxed cell (GGA-PBE, Alexandria); λ = 1.5418 Å (Cu Kα)).

Main lines, low angle first (2θ from 10° to 80°):
Position (°2θ), d/Å, intensity
15.54, 5.702, 10
22.05, 4.032, 41
27.09, 3.292, 100
38.68, 2.328, 29
41.92, 2.155, 63
44.97, 2.016, 33
50.63, 1.803, 18
53.29, 1.719, 16
63.16, 1.472, 19
65.48, 1.425, 22
72.22, 1.308, 20
78.72, 1.216, 12

Cell and atoms:
Cell lengths 6.983, 6.983, 6.983 Å; angles 109.47, 109.47, 109.47 degrees
Element x y z (fractional)
Sm  0.000  0.000  0.000
Sn  0.250  0.500  0.750
Sn  0.250  0.750  0.500
Sn  0.500  0.250  0.750
Sn  0.500  0.750  0.250
Sn  0.750  0.250  0.500
Sn  0.750  0.500  0.250



# 3
Structure and simulated XRD peak list of Ti5Zn2Sb (a DFT-relaxed cell (GGA-PBE, Alexandria); λ = 1.5418 Å (Cu Kα)).

Main lines, low angle first (2θ from 10° to 80°):
Position (°2θ), d/Å, intensity
23.86, 3.729, 31
36.17, 2.484, 20
36.78, 2.444, 16
37.33, 2.409, 100
40.75, 2.214, 24
41.31, 2.186, 74
51.05, 1.789, 11
52.54, 1.742, 18
59.84, 1.546, 11
73.72, 1.285, 11
76.69, 1.243, 13
78.57, 1.217, 14

Cell and atoms:
Cell lengths 7.560, 7.560, 7.560 Å; angles 125.59, 125.59, 80.56 degrees
Element x y z (fractional)
Ti  0.000  0.000  0.000
Ti  0.000  0.500  0.190
Ti  0.000  0.500  0.810
Ti  0.190  0.000  0.500
Ti  0.310  0.810  0.810
Ti  0.500  0.310  0.500
Ti  0.500  0.500  0.000
Ti  0.500  0.690  0.500
Ti  0.690  0.190  0.190
Ti  0.810  0.000  0.500
Zn  0.138  0.362  0.500
Zn  0.362  0.862  0.224
Zn  0.638  0.138  0.776
Zn  0.862  0.638  0.500
Sb  0.250  0.250  0.000
Sb  0.750  0.750  0.000



# 4
Structure and simulated XRD peak list of Re2Cl5O4 (a DFT-relaxed cell (GGA-PBE, Alexandria); λ = 1.5418 Å (Cu Kα)).

Main lines, low angle first (2θ from 10° to 80°):
Position (°2θ), d/Å, intensity
14.39, 6.155, 100
15.64, 5.666, 76
21.01, 4.229, 39
21.18, 4.194, 39
21.61, 4.113, 71
22.10, 4.022, 67
28.96, 3.083, 27
31.43, 2.846, 17
32.70, 2.738, 17
35.25, 2.546, 13
38.43, 2.342, 15
44.05, 2.056, 16

Cell and atoms:
Cell lengths 6.094, 6.720, 9.099 Å; angles 108.93, 106.77, 97.05 degrees
Element x y z (fractional)
Re  0.000  0.000  0.000
Re  0.034  0.570  0.552
Cl  0.212  0.902  0.196
Cl  0.264  0.909  0.628
Cl  0.308  0.536  0.771
Cl  0.721  0.686  0.425
Cl  0.765  0.316  0.570
O  0.103  0.422  0.390
O  0.155  0.235  0.005
O  0.741  0.043  0.030
O  0.934  0.796  0.807



# 5
Structure and simulated XRD peak list of Pr6NdSmTh2 (a DFT-relaxed cell (GGA-PBE, Alexandria); λ = 1.5418 Å (Cu Kα)).

Main lines, low angle first (2θ from 10° to 80°):
Position (°2θ), d/Å, intensity
25.93, 3.437, 17
28.34, 3.149, 37
28.49, 3.133, 38
30.03, 2.975, 44
31.01, 2.884, 100
31.21, 2.866, 15
31.34, 2.854, 41
31.58, 2.833, 24
31.85, 2.810, 23
32.07, 2.791, 65
33.22, 2.697, 18
34.17, 2.624, 23

Cell and atoms:
Cell lengths 8.810, 8.810, 10.673 Å; angles 97.42, 97.42, 117.72 degrees
Element x y z (fractional)
Pr  0.015  0.570  0.170
Pr  0.107  0.739  0.547
Pr  0.261  0.893  0.953
Pr  0.311  0.510  0.383
Pr  0.430  0.985  0.330
Pr  0.490  0.689  0.117
Pr  0.510  0.311  0.883
Pr  0.570  0.015  0.670
Pr  0.689  0.490  0.617
Pr  0.739  0.107  0.047
Pr  0.893  0.261  0.453
Pr  0.985  0.430  0.830
Nd  0.008  0.992  0.250
Nd  0.992  0.008  0.750
Sm  0.402  0.598  0.750
Sm  0.598  0.402  0.250
Th  0.179  0.260  0.043
Th  0.260  0.179  0.543
Th  0.740  0.821  0.457
Th  0.821  0.740  0.957



# 6
Structure and simulated XRD peak list of MgBP2Ir (a DFT-relaxed cell (GGA-PBE, Alexandria); λ = 1.5418 Å (Cu Kα)).

Main lines, low angle first (2θ from 10° to 80°):
Position (°2θ), d/Å, intensity
20.66, 4.299, 89
21.82, 4.073, 26
29.38, 3.040, 33
30.23, 2.957, 56
36.90, 2.436, 100
42.04, 2.149, 39
44.49, 2.036, 16
47.28, 1.923, 20
49.53, 1.840, 18
52.64, 1.739, 25
62.86, 1.478, 23
73.43, 1.290, 27

Cell and atoms:
Cell lengths 4.299, 4.299, 4.073 Å; angles 90.00, 90.00, 90.00 degrees
Element x y z (fractional)
Mg  0.000  0.000  0.000
B  0.500  0.500  0.500
P  0.000  0.500  0.500
P  0.500  0.000  0.500
Ir  0.500  0.500  0.000